For TbAlCr2O6, the PBE+U geometry in Alexandria gives the computed XRD peak list in this record (λ = 1.5418 Å (Cu Kα)).

Cell and atoms:
a b c (Å): 5.515 5.515 5.515
angles (deg): 56.43 56.43 56.43
Element x y z (fractional)
Tb 0.000 0.000 0.000
Al 0.523 0.523 0.523
Cr 0.216 0.216 0.216
Cr 0.724 0.724 0.724
O 0.131 0.448 0.806
O 0.366 0.920 0.571
O 0.448 0.806 0.131
O 0.571 0.366 0.920
O 0.806 0.131 0.448
O 0.920 0.571 0.366

Most intense lines, 15° ≤ 2θ ≤ 90°, in order of rising 2θ:
| 2theta | d/Å | I (rel.) |
| --- | --- | --- |
| 19.21 | 4.621 | 27 |
| 20.69 | 4.294 | 71 |
| 23.51 | 3.784 | 35 |
| 32.57 | 2.749 | 100 |
| 34.40 | 2.607 | 82 |
| 39.69 | 2.271 | 42 |
| 48.10 | 1.892 | 41 |
| 52.95 | 1.729 | 31 |
| 60.46 | 1.531 | 37 |
| 61.61 | 1.505 | 29 |